Starting from a GGA-PBE-relaxed structure, the X-ray diffraction stick pattern of HoMg6Sc3 was computed for λ = 1.5418 Å (Cu Kα).
Neutral-atom scattering factors, no anomalous dispersion.

Structural model:
Cell lengths 8.9126, 5.1147, 10.8700 Å; angles 90.00, 105.92, 90.00 degrees
Element x y z (fractional)
Ho: 0.0528 0.2500 0.4002
Ho: 0.9472 0.7500 0.5998
Mg: 0.0543 0.7500 0.9054
Mg: 0.1523 0.7500 0.2003
Mg: 0.1564 0.2500 0.7096
Mg: 0.2613 0.7500 0.5026
Mg: 0.3563 0.2500 0.3000
Mg: 0.4507 0.7500 0.0996
Mg: 0.5493 0.2500 0.9004
Mg: 0.6437 0.7500 0.7000
Mg: 0.7387 0.2500 0.4974
Mg: 0.8436 0.7500 0.2904
Mg: 0.8477 0.2500 0.7997
Mg: 0.9457 0.2500 0.0946
Sc: 0.2549 0.2500 0.0031
Sc: 0.3518 0.7500 0.8023
Sc: 0.4526 0.2500 0.6055
Sc: 0.5474 0.7500 0.3945
Sc: 0.6482 0.2500 0.1977
Sc: 0.7451 0.7500 0.9969

Top 8 peaks for 2θ from 5° to 70°, by angle:
10.453 Å, rel. 38
8.571 Å, rel. 22
4.274 Å, rel. 18
3.625 Å, rel. 47
2.568 Å, rel. 100
2.559 Å, rel. 99
1.811 Å, rel. 24
1.478 Å, rel. 39


Starting from a GGA-PBE-relaxed structure, the X-ray diffraction stick pattern of NaSi34 was computed for λ = 1.5418 Å (Cu Kα).
Neutral-atom scattering factors, no anomalous dispersion.

Structural model:
Cell lengths 10.4126, 10.4126, 10.4126 Å; angles 60.00, 60.00, 60.00 degrees
Element x y z (fractional)
Na: 0.0000 0.0000 0.0000
Si: 0.0044 0.0044 0.3802
Si: 0.0044 0.0044 0.6110
Si: 0.0044 0.3802 0.0044
Si: 0.0044 0.3802 0.6110
Si: 0.0044 0.6110 0.0044
Si: 0.0044 0.6110 0.3802
Si: 0.1393 0.3693 0.7457
Si: 0.1393 0.7457 0.3693
Si: 0.1393 0.7457 0.7457
Si: 0.1577 0.1577 0.1577
Si: 0.1577 0.1577 0.5268
Si: 0.1577 0.5268 0.1577
Si: 0.2237 0.5921 0.5921
Si: 0.2500 0.2500 0.2500
Si: 0.3693 0.1393 0.7457
Si: 0.3693 0.7457 0.1393
Si: 0.3693 0.7457 0.7457
Si: 0.3802 0.0044 0.0044
Si: 0.3802 0.0044 0.6110
Si: 0.3802 0.6110 0.0044
Si: 0.5000 0.5000 0.5000
Si: 0.5268 0.1577 0.1577
Si: 0.5921 0.2237 0.5921
Si: 0.5921 0.5921 0.2237
Si: 0.5921 0.5921 0.5921
Si: 0.6110 0.0044 0.0044
Si: 0.6110 0.0044 0.3802
Si: 0.6110 0.3802 0.0044
Si: 0.7457 0.1393 0.3693
Si: 0.7457 0.1393 0.7457
Si: 0.7457 0.3693 0.1393
Si: 0.7457 0.3693 0.7457
Si: 0.7457 0.7457 0.1393
Si: 0.7457 0.7457 0.3693

Top 8 peaks for 2θ from 5° to 70°, by angle:
5.206 Å, rel. 24
4.440 Å, rel. 56
4.251 Å, rel. 38
2.834 Å, rel. 59
2.489 Å, rel. 60
1.799 Å, rel. 36
1.735 Å, rel. 100
1.700 Å, rel. 30


Starting from a GGA-PBE-relaxed structure, the X-ray diffraction stick pattern of Li9Zn2Ga was computed for λ = 1.5418 Å (Cu Kα).
Neutral-atom scattering factors, no anomalous dispersion.

Structural model:
Cell lengths 4.8974, 4.9207, 9.1920 Å; angles 91.54, 91.72, 117.24 degrees
Element x y z (fractional)
Li: 0.0000 0.0000 0.0000
Li: 0.0325 0.3579 0.2566
Li: 0.3395 0.6597 0.5001
Li: 0.3416 0.6582 0.0000
Li: 0.3628 0.0278 0.2569
Li: 0.6372 0.9722 0.7431
Li: 0.6584 0.3418 0.0000
Li: 0.6605 0.3403 0.4999
Li: 0.9675 0.6421 0.7434
Zn: 0.2932 0.2971 0.7489
Zn: 0.7068 0.7029 0.2511
Ga: 0.0000 0.0000 0.5000

Top 8 peaks for 2θ from 5° to 70°, by angle:
9.178 Å, rel. 40
4.191 Å, rel. 60
4.011 Å, rel. 100
3.237 Å, rel. 17
2.388 Å, rel. 16
2.380 Å, rel. 17
2.295 Å, rel. 20
2.013 Å, rel. 22


Starting from a GGA-PBE-relaxed structure, the X-ray diffraction stick pattern of Mn4Si23 was computed for λ = 1.5418 Å (Cu Kα).
Neutral-atom scattering factors, no anomalous dispersion.

Structural model:
Cell lengths 10.1411, 10.1411, 10.1411 Å; angles 90.00, 90.00, 90.00 degrees
Element x y z (fractional)
Mn: 0.0000 0.0000 0.0000
Mn: 0.0000 0.2500 0.5000
Mn: 0.0000 0.7500 0.5000
Mn: 0.2500 0.5000 0.0000
Mn: 0.5000 0.0000 0.2500
Mn: 0.5000 0.0000 0.7500
Mn: 0.5000 0.5000 0.5000
Mn: 0.7500 0.5000 0.0000
Si: 0.0000 0.3094 0.1163
Si: 0.0000 0.3094 0.8837
Si: 0.0000 0.5000 0.2500
Si: 0.0000 0.5000 0.7500
Si: 0.0000 0.6906 0.1163
Si: 0.0000 0.6906 0.8837
Si: 0.1163 0.0000 0.3094
Si: 0.1163 0.0000 0.6906
Si: 0.1832 0.1832 0.1832
Si: 0.1832 0.1832 0.8168
Si: 0.1832 0.8168 0.1832
Si: 0.1832 0.8168 0.8168
Si: 0.1906 0.5000 0.3837
Si: 0.1906 0.5000 0.6163
Si: 0.2500 0.0000 0.5000
Si: 0.3094 0.1163 0.0000
Si: 0.3094 0.8837 0.0000
Si: 0.3168 0.3168 0.3168
Si: 0.3168 0.3168 0.6832
Si: 0.3168 0.6832 0.3168
Si: 0.3168 0.6832 0.6832
Si: 0.3837 0.1906 0.5000
Si: 0.3837 0.8094 0.5000
Si: 0.5000 0.2500 0.0000
Si: 0.5000 0.3837 0.1906
Si: 0.5000 0.3837 0.8094
Si: 0.5000 0.6163 0.1906
Si: 0.5000 0.6163 0.8094
Si: 0.5000 0.7500 0.0000
Si: 0.6163 0.1906 0.5000
Si: 0.6163 0.8094 0.5000
Si: 0.6832 0.3168 0.3168
Si: 0.6832 0.3168 0.6832
Si: 0.6832 0.6832 0.3168
Si: 0.6832 0.6832 0.6832
Si: 0.6906 0.1163 0.0000
Si: 0.6906 0.8837 0.0000
Si: 0.7500 0.0000 0.5000
Si: 0.8094 0.5000 0.3837
Si: 0.8094 0.5000 0.6163
Si: 0.8168 0.1832 0.1832
Si: 0.8168 0.1832 0.8168
Si: 0.8168 0.8168 0.1832
Si: 0.8168 0.8168 0.8168
Si: 0.8837 0.0000 0.3094
Si: 0.8837 0.0000 0.6906

Top 8 peaks for 2θ from 5° to 70°, by angle:
2.927 Å, rel. 29
2.813 Å, rel. 39
2.710 Å, rel. 100
2.535 Å, rel. 15
2.460 Å, rel. 12
1.739 Å, rel. 30
1.690 Å, rel. 19
1.645 Å, rel. 40


Starting from a GGA-PBE-relaxed structure, the X-ray diffraction stick pattern of Pr3Si4Pd7 was computed for λ = 1.5418 Å (Cu Kα).
Neutral-atom scattering factors, no anomalous dispersion.

Structural model:
Cell lengths 8.2324, 8.2324, 9.6723 Å; angles 124.66, 124.66, 28.98 degrees
Element x y z (fractional)
Pr: 0.0000 0.0000 0.0000
Pr: 0.3237 0.3237 0.3249
Pr: 0.6763 0.6763 0.6751
Si: 0.1088 0.1088 0.8264
Si: 0.3356 0.3356 0.7242
Si: 0.6644 0.6644 0.2758
Si: 0.8912 0.8912 0.1736
Pd: 0.0000 0.0000 0.5000
Pd: 0.1705 0.1705 0.4225
Pd: 0.3065 0.3065 0.9655
Pd: 0.4926 0.4926 0.7256
Pd: 0.5074 0.5074 0.2744
Pd: 0.6935 0.6935 0.0345
Pd: 0.8295 0.8295 0.5775

Top 8 peaks for 2θ from 5° to 70°, by angle:
3.036 Å, rel. 19
2.552 Å, rel. 100
2.538 Å, rel. 24
2.515 Å, rel. 58
2.417 Å, rel. 23
2.150 Å, rel. 30
2.060 Å, rel. 39
1.487 Å, rel. 19


Starting from a GGA-PBE-relaxed structure, the X-ray diffraction stick pattern of Nd4HgPb2 was computed for λ = 1.5418 Å (Cu Kα).
Neutral-atom scattering factors, no anomalous dispersion.

Structural model:
Cell lengths 5.9822, 6.7288, 10.9454 Å; angles 90.00, 98.91, 90.00 degrees
Element x y z (fractional)
Nd: 0.1314 0.2500 0.1185
Nd: 0.2387 0.7500 0.4445
Nd: 0.3264 0.0094 0.7328
Nd: 0.3264 0.4906 0.7328
Nd: 0.6736 0.5094 0.2672
Nd: 0.6736 0.9906 0.2672
Nd: 0.7613 0.2500 0.5555
Nd: 0.8686 0.7500 0.8815
Hg: 0.0814 0.7500 0.1708
Hg: 0.9186 0.2500 0.8292
Pb: 0.2266 0.2500 0.4289
Pb: 0.4166 0.7500 0.0049
Pb: 0.5834 0.2500 0.9951
Pb: 0.7734 0.7500 0.5711

Top 8 peaks for 2θ from 5° to 70°, by angle:
3.364 Å, rel. 32
2.970 Å, rel. 65
2.883 Å, rel. 100
2.857 Å, rel. 45
2.769 Å, rel. 41
2.658 Å, rel. 22
2.616 Å, rel. 43
1.453 Å, rel. 19


Starting from a GGA-PBE-relaxed structure, the X-ray diffraction stick pattern of Sn6ICl12 was computed for λ = 1.5418 Å (Cu Kα).
Neutral-atom scattering factors, no anomalous dispersion.

Structural model:
Cell lengths 8.6158, 8.6158, 8.6158 Å; angles 102.94, 102.94, 102.94 degrees
Element x y z (fractional)
Sn: 0.2614 0.2614 0.6763
Sn: 0.2614 0.6763 0.2614
Sn: 0.3237 0.7386 0.7386
Sn: 0.6763 0.2614 0.2614
Sn: 0.7386 0.3237 0.7386
Sn: 0.7386 0.7386 0.3237
I: 0.0000 0.0000 0.0000
Cl: 0.1345 0.5000 0.8655
Cl: 0.1345 0.8655 0.5000
Cl: 0.1915 0.4648 0.4648
Cl: 0.4648 0.1915 0.4648
Cl: 0.4648 0.4648 0.1915
Cl: 0.5000 0.1345 0.8655
Cl: 0.5000 0.8655 0.1345
Cl: 0.5352 0.5352 0.8085
Cl: 0.5352 0.8085 0.5352
Cl: 0.8085 0.5352 0.5352
Cl: 0.8655 0.1345 0.5000
Cl: 0.8655 0.5000 0.1345

Top 8 peaks for 2θ from 5° to 70°, by angle:
5.009 Å, rel. 36
4.100 Å, rel. 100
4.020 Å, rel. 32
3.453 Å, rel. 36
3.370 Å, rel. 32
2.603 Å, rel. 39
2.504 Å, rel. 42
2.285 Å, rel. 32


Starting from a GGA-PBE-relaxed structure, the X-ray diffraction stick pattern of Zn2ReAu was computed for λ = 1.5418 Å (Cu Kα).
Neutral-atom scattering factors, no anomalous dispersion.

Structural model:
Cell lengths 3.2961, 4.3285, 8.6011 Å; angles 90.00, 90.00, 90.00 degrees
Element x y z (fractional)
Zn: 0.0000 0.0000 0.2442
Zn: 0.0000 0.0000 0.7558
Zn: 0.5000 0.5000 0.2442
Zn: 0.5000 0.5000 0.7558
Re: 0.0000 0.5000 0.0000
Re: 0.5000 0.0000 0.0000
Au: 0.0000 0.5000 0.5000
Au: 0.5000 0.0000 0.5000

Top 8 peaks for 2θ from 5° to 70°, by angle:
4.301 Å, rel. 28
2.622 Å, rel. 16
2.239 Å, rel. 100
2.164 Å, rel. 23
2.150 Å, rel. 22
1.663 Å, rel. 9
1.648 Å, rel. 10
1.525 Å, rel. 15


Starting from a GGA-PBE-relaxed structure, the X-ray diffraction stick pattern of Na8B9C7 was computed for λ = 1.5418 Å (Cu Kα).
Neutral-atom scattering factors, no anomalous dispersion.

Structural model:
Cell lengths 8.9197, 8.9197, 9.9121 Å; angles 106.14, 106.14, 18.24 degrees
Element x y z (fractional)
Na: 0.0000 0.0000 0.0000
Na: 0.9996 0.9996 0.4992
Na: 0.2508 0.2508 0.1252
Na: 0.2506 0.2506 0.6249
Na: 0.4997 0.4997 0.2494
Na: 0.5010 0.5010 0.7500
Na: 0.7492 0.7492 0.8739
Na: 0.7512 0.7512 0.3753
B: 0.1250 0.1250 0.7161
B: 0.1252 0.1252 0.8934
B: 0.1255 0.1255 0.2335
B: 0.3754 0.3754 0.0211
B: 0.3751 0.3751 0.5212
B: 0.6252 0.6252 0.4742
B: 0.6254 0.6254 0.9931
B: 0.8748 0.8748 0.7712
B: 0.8757 0.8757 0.2711
C: 0.1254 0.1254 0.3959
C: 0.3746 0.3746 0.8545
C: 0.3756 0.3756 0.3549
C: 0.6249 0.6249 0.6376
C: 0.6256 0.6256 0.1539
C: 0.8748 0.8748 0.6046
C: 0.8761 0.8761 0.1051

Top 8 peaks for 2θ from 5° to 70°, by angle:
2.478 Å, rel. 9
2.456 Å, rel. 17
2.138 Å, rel. 51
2.123 Å, rel. 100
2.113 Å, rel. 39
1.602 Å, rel. 10
1.426 Å, rel. 17
1.414 Å, rel. 8


Starting from a GGA-PBE-relaxed structure, the X-ray diffraction stick pattern of Tb6PmTm was computed for λ = 1.5418 Å (Cu Kα).
Neutral-atom scattering factors, no anomalous dispersion.

Structural model:
Cell lengths 5.0423, 5.0423, 10.0647 Å; angles 90.00, 90.00, 90.00 degrees
Element x y z (fractional)
Tb: 0.0000 0.0000 0.0000
Tb: 0.0000 0.0000 0.5000
Tb: 0.0000 0.5000 0.2475
Tb: 0.0000 0.5000 0.7525
Tb: 0.5000 0.0000 0.2475
Tb: 0.5000 0.0000 0.7525
Pm: 0.5000 0.5000 0.5000
Tm: 0.5000 0.5000 0.0000

Top 5 peaks for 2θ from 5° to 70°, by angle:
2.909 Å, rel. 100
2.519 Å, rel. 51
1.782 Å, rel. 36
1.519 Å, rel. 43
1.455 Å, rel. 12


Starting from a GGA-PBE-relaxed structure, the X-ray diffraction stick pattern of Pm4Pr4Sc was computed for λ = 1.5418 Å (Cu Kα).
Neutral-atom scattering factors, no anomalous dispersion.

Structural model:
Cell lengths 8.1371, 8.1371, 8.1371 Å; angles 95.75, 95.75, 143.10 degrees
Element x y z (fractional)
Pm: 0.1633 0.1633 0.3266
Pm: 0.1633 0.8367 0.0000
Pm: 0.8367 0.1633 0.0000
Pm: 0.8367 0.8367 0.6734
Pr: 0.1709 0.5000 0.6709
Pr: 0.5000 0.1709 0.6709
Pr: 0.5000 0.8291 0.3291
Pr: 0.8291 0.5000 0.3291
Sc: 0.5000 0.5000 0.0000

Top 8 peaks for 2θ from 5° to 70°, by angle:
5.458 Å, rel. 1
4.658 Å, rel. 3
3.543 Å, rel. 2
2.972 Å, rel. 100
2.574 Å, rel. 51
1.820 Å, rel. 36
1.552 Å, rel. 42
1.486 Å, rel. 12


- What is the formula in the fifth record?
  Pr3Si4Pd7


- Number 9 is which compound?
  Na8B9C7


Repeat the third record exactly.
Starting from a GGA-PBE-relaxed structure, the X-ray diffraction stick pattern of Li9Zn2Ga was computed for λ = 1.5418 Å (Cu Kα).
Neutral-atom scattering factors, no anomalous dispersion.

Structural model:
Cell lengths 4.8974, 4.9207, 9.1920 Å; angles 91.54, 91.72, 117.24 degrees
Element x y z (fractional)
Li: 0.0000 0.0000 0.0000
Li: 0.0325 0.3579 0.2566
Li: 0.3395 0.6597 0.5001
Li: 0.3416 0.6582 0.0000
Li: 0.3628 0.0278 0.2569
Li: 0.6372 0.9722 0.7431
Li: 0.6584 0.3418 0.0000
Li: 0.6605 0.3403 0.4999
Li: 0.9675 0.6421 0.7434
Zn: 0.2932 0.2971 0.7489
Zn: 0.7068 0.7029 0.2511
Ga: 0.0000 0.0000 0.5000

Top 8 peaks for 2θ from 5° to 70°, by angle:
9.178 Å, rel. 40
4.191 Å, rel. 60
4.011 Å, rel. 100
3.237 Å, rel. 17
2.388 Å, rel. 16
2.380 Å, rel. 17
2.295 Å, rel. 20
2.013 Å, rel. 22